Entry 1:
For GdInPt2, the PBE geometry in the Materials Project gives the theoretical X-ray diffraction stick pattern in this record (Cu Kα, 1.54184 Å).
Peak positions follow from Bragg's law for the DFT cell and can differ from measured ones.

Atomic structure:
abc: 4.6139 4.6139 9.1086
angles: 90.00 90.00 120.00
Space group P6_3/mmc (No. 194)
Asymmetric unit:
Gd (0.3333, 0.6667, 0.2500) [2 per cell]
In (0.0000, 0.0000, 0.0000) [2 per cell]
Pt (0.3333, 0.6667, 0.5903) [4 per cell]

Most intense lines, 10° ≤ 2θ ≤ 90°, in order of falling intensity:
2θ (°)	I/Imax	hkl
37.19	1000	1 0 3
39.04	875	1 1 0
55.02	327	2 0 3
69.52	326	2 1 3
22.25	196	1 0 0
70.73	153	3 0 0
65.81	126	1 0 6
29.74	110	1 0 2
74.88	105	1 1 6
83.88	99	2 2 0

Entry 2:
For NbO2, the PBE geometry in the Materials Project gives the theoretical X-ray diffraction stick pattern in this record (Cu Kα, 1.54184 Å).
Peak positions follow from Bragg's law for the DFT cell and can differ from measured ones.

Atomic structure:
abc: 15.7532 15.7532 6.7397
angles: 90.00 90.00 90.00
Space group I4_1/a (No. 88, origin choice 2)
Asymmetric unit:
Nb (0.0701, 0.0279, 0.3540) [16 per cell]
Nb (0.1290, 0.4829, 0.2131) [16 per cell]
O (0.0213, 0.4433, 0.1539) [16 per cell]
O (0.0934, 0.1297, 0.4387) [16 per cell]
O (0.1462, 0.0297, 0.0743) [16 per cell]
O (0.1583, 0.4490, 0.5033) [16 per cell]

Most intense lines, 10° ≤ 2θ ≤ 90°, in order of falling intensity:
2θ (°)	I/Imax	hkl
11.23	1000	2 0 0
32.09	523	4 4 0
31.34	308	5 0 1
25.28	304	4 2 0
15.91	220	2 2 0
21.45	197	3 0 1
24.28	153	3 2 1
42.22	142	2 1 3
26.82	122	1 4 1
35.05	118	4 0 2

Entry 3:
For Tm2TeO6, the PBE geometry in the Materials Project gives the theoretical X-ray diffraction stick pattern in this record (Cu Kα, 1.54184 Å).
Peak positions follow from Bragg's law for the DFT cell and can differ from measured ones.

Atomic structure:
abc: 9.1051 9.1051 5.1128
angles: 90.00 90.00 120.00
Space group P321 (No. 150)
Asymmetric unit:
Tm (0.0000, 0.2873, 0.0000) [3 per cell]
Tm (0.0000, 0.6242, 0.5000) [3 per cell]
Te (0.0000, 0.0000, 0.5000) [1 per cell]
Te (0.3333, 0.6667, 0.0055) [2 per cell]
O (0.0831, 0.8802, 0.2874) [6 per cell]
O (0.1311, 0.5424, 0.2222) [6 per cell]
O (0.2221, 0.7598, 0.7892) [6 per cell]

Most intense lines, 10° ≤ 2θ ≤ 90°, in order of falling intensity:
2θ (°)	I/Imax	hkl
26.21	1000	1 1 1
49.75	418	0 3 2
34.11	388	3 0 0
28.59	361	0 2 1
53.75	215	3 2 1
43.52	146	2 2 1
35.10	142	0 0 2
34.84	140	2 1 1
29.98	139	2 1 0
57.76	110	1 1 3